(1)
Starting from the GGA-PBE geometry in Alexandria, the powder XRD pattern of Ba2ThTeO6 was computed for Cu Kα, 1.54184 Å.

Structural model:
```
Ba2ThTeO6
1.0
6.262 0.000 0.000
-3.120 5.430 0.000
-0.039 -3.599 5.163
Ba Th Te O
2 1 1 6
Direct
0.249 0.490 0.238 Ba
0.751 0.510 0.762 Ba
0.000 0.000 0.500 Th
0.500 0.000 0.000 Te
0.209 0.998 0.199 O
0.257 0.922 0.676 O
0.298 0.510 0.800 O
0.702 0.490 0.200 O
0.743 0.078 0.324 O
0.791 0.002 0.801 O
```

Largest 6 diffraction maxima, most intense first, 2θ from 10° to 90°:
28.5 deg, d 3.133, I 100
28.4 deg, d 3.147, I 68
40.5 deg, d 2.227, I 37
28.2 deg, d 3.162, I 32
50.5 deg, d 1.808, I 30
50.2 deg, d 1.817, I 23


(2)
Starting from the GGA-PBE geometry in Alexandria, the powder XRD pattern of La2CeSi6 was computed for Cu Kα, 1.54184 Å.

Structural model:
```
La2CeSi6
1.0
7.122 0.000 0.000
-3.561 6.168 0.000
0.000 0.000 4.296
La Ce Si
2 1 6
Direct
0.333 0.667 0.000 La
0.667 0.333 0.000 La
0.000 0.000 0.000 Ce
0.000 0.331 0.500 Si
0.000 0.669 0.500 Si
0.331 0.000 0.500 Si
0.331 0.331 0.500 Si
0.669 0.000 0.500 Si
0.669 0.669 0.500 Si
```

Largest 6 diffraction maxima, most intense first, 2θ from 10° to 90°:
32.7 deg, d 2.742, I 100
25.0 deg, d 3.561, I 42
44.0 deg, d 2.056, I 30
55.9 deg, d 1.645, I 21
62.5 deg, d 1.485, I 21
73.8 deg, d 1.284, I 19


(3)
Starting from the GGA-PBE geometry in Alexandria, the powder XRD pattern of KRb2PdO2 was computed for Cu Kα, 1.54184 Å.

Structural model:
```
KRb2PdO2
1.0
6.115 0.000 0.000
0.000 11.360 0.000
0.000 0.000 4.396
K Rb Pd O
2 4 2 4
Direct
0.000 0.000 0.000 K
0.500 0.500 0.500 K
0.097 0.269 0.500 Rb
0.403 0.769 0.000 Rb
0.597 0.231 0.000 Rb
0.903 0.731 0.500 Rb
0.000 0.500 0.000 Pd
0.500 0.000 0.500 Pd
0.245 0.893 0.500 O
0.255 0.393 0.000 O
0.745 0.607 0.000 O
0.755 0.107 0.500 O
```

Largest 6 diffraction maxima, most intense first, 2θ from 10° to 90°:
29.6 deg, d 3.022, I 100
31.5 deg, d 2.840, I 19
16.5 deg, d 5.384, I 17
41.1 deg, d 2.198, I 15
30.3 deg, d 2.952, I 14
54.9 deg, d 1.673, I 13


(4)
Starting from the GGA-PBE geometry in Alexandria, the powder XRD pattern of TbNd6In5 was computed for Cu Kα, 1.54184 Å.

Structural model:
```
TbNd6In5
1.0
-2.539 4.563 7.669
2.539 -4.563 7.669
2.539 4.563 -7.669
Tb Nd In
1 6 5
Direct
0.000 0.000 0.000 Tb
0.090 0.829 0.261 Nd
0.267 0.500 0.767 Nd
0.432 0.171 0.261 Nd
0.568 0.829 0.739 Nd
0.733 0.500 0.233 Nd
0.910 0.171 0.739 Nd
0.153 0.653 0.500 In
0.327 0.327 0.000 In
0.500 0.000 0.500 In
0.673 0.673 0.000 In
0.847 0.347 0.500 In
```

Largest 6 diffraction maxima, most intense first, 2θ from 10° to 90°:
31.6 deg, d 2.828, I 100
35.4 deg, d 2.539, I 19
35.1 deg, d 2.556, I 18
61.2 deg, d 1.516, I 15
60.8 deg, d 1.523, I 14
39.5 deg, d 2.282, I 13